K3HWS4O: simulated powder XRD pattern (Cu Kα, 1.54184 Å), based on a crystal structure in Alexandria, relaxed with PBE+U.
Neutral-atom scattering factors, no anomalous dispersion.

Most intense lines, 15 to 90 degrees two-theta, in order of rising 2θ:
2θ (°), Rel. int., (hkl)
18.22, 32, 2 0 0
19.54, 100, 1 1 1
22.80, 47, 2 1 0
25.37, 47, 0 1 2
27.35, 30, 0 2 0
28.19, 94, 2 0 2
36.93, 23, 4 0 0
39.68, 37, 2 2 2
49.61, 23, 2 1 4
51.77, 23, 4 2 2

Atomic structure:
abc: 9.735 6.522 8.334
angles: 90.00 90.00 90.00
Space group Pmn2_1 (No. 31)
Inequivalent atoms, fractional coordinates:
K: 0.000 0.000 0.000 [2 per cell]
K: 0.228 0.396 0.749 [4 per cell]
H: 0.000 0.407 0.172 [2 per cell]
W: 0.000 0.001 0.493 [2 per cell]
S: 0.000 0.504 0.028 [2 per cell]
S: 0.000 0.661 0.527 [2 per cell]
S: 0.187 0.094 0.353 [4 per cell]
O: 0.000 0.131 0.682 [2 per cell]